# 1
For Nb4V3FeSe20, the GGA-PBE geometry in Alexandria gives the simulated powder XRD pattern in this record (CuKα).

Cell: 9.9304 3.4978 18.9370 Å, 90.00 96.53 90.00°
Fractional positions:
Nb1 0.0000 0.0000 0.0000
Nb2 0.1871 0.5000 0.6269
Nb3 0.4735 0.0000 0.4959
Nb4 0.7086 0.5000 0.1299
V1 0.1707 0.5000 0.3543
V2 0.4842 0.0000 0.7655
V3 0.7019 0.5000 0.8620
Fe1 0.0011 0.0000 0.2623
Se1 0.0102 0.0000 0.5611
Se2 0.0143 0.0000 0.3873
Se3 0.0297 0.0000 0.6865
Se4 0.1503 0.5000 0.2306
Se5 0.1558 0.5000 0.9396
Se6 0.1771 0.5000 0.0658
Se7 0.2713 0.5000 0.4913
Se8 0.2985 0.5000 0.7667
Se9 0.3629 0.0000 0.3571
Se10 0.3888 0.0000 0.6300
Se11 0.5297 0.0000 0.0658
Se12 0.5345 0.0000 0.8945
Se13 0.5560 0.0000 0.1920
Se14 0.6291 0.5000 0.4356
Se15 0.6519 0.5000 0.7332
Se16 0.6526 0.5000 0.5611
Se17 0.7982 0.5000 0.9975
Se18 0.8295 0.5000 0.2666
Se19 0.8875 0.0000 0.8604
Se20 0.9101 0.0000 0.1356

Top 12 peaks for 2θ from 10° to 90°, most intense first:
| d [Å] | two_theta | I/Imax |
| --- | --- | --- |
| 2.853 | 31.35 | 100 |
| 5.588 | 15.86 | 40 |
| 2.522 | 35.60 | 39 |
| 2.303 | 39.12 | 31 |
| 2.123 | 42.58 | 29 |
| 2.402 | 37.45 | 27 |
| 1.749 | 52.31 | 22 |
| 2.045 | 44.28 | 20 |
| 8.356 | 10.59 | 18 |
| 1.437 | 64.89 | 13 |
| 2.794 | 32.03 | 13 |
| 5.040 | 17.60 | 11 |



# 2
For Nb4Fe3Si5, the GGA-PBE geometry in Alexandria gives the simulated powder XRD pattern in this record (CuKα).

Cell: 7.6536 4.9092 4.9092 Å, 60.64 90.00 90.00°
Fractional positions:
Nb1 0.1816 0.0000 0.0000
Nb2 0.3144 0.3343 0.3343
Nb3 0.6856 0.3343 0.3343
Nb4 0.8184 0.0000 0.0000
Fe1 0.2453 0.6638 0.6638
Fe2 0.5000 0.8367 0.8367
Fe3 0.7547 0.6638 0.6638
Si1 0.0000 0.0010 0.4974
Si2 0.0000 0.4961 0.4961
Si3 0.0000 0.4974 0.0010
Si4 0.5000 0.3308 0.8335
Si5 0.5000 0.8335 0.3308

Top 12 peaks for 2θ from 10° to 90°, most intense first:
| d [Å] | two_theta | I/Imax |
| --- | --- | --- |
| 2.066 | 43.82 | 100 |
| 2.191 | 41.20 | 87 |
| 2.454 | 36.61 | 68 |
| 2.478 | 36.25 | 46 |
| 2.060 | 43.95 | 44 |
| 2.080 | 43.51 | 39 |
| 2.186 | 41.31 | 32 |
| 1.336 | 70.46 | 23 |
| 2.042 | 44.36 | 22 |
| 1.227 | 77.83 | 20 |
| 3.827 | 23.24 | 18 |
| 1.245 | 76.53 | 18 |



# 3
For Nb3Fe8Sn, the GGA-PBE geometry in Alexandria gives the simulated powder XRD pattern in this record (CuKα).

Cell: 4.8516 4.8516 7.8912 Å, 90.00 90.00 120.00°
Fractional positions:
Nb1 0.0000 0.0000 0.0000
Nb2 0.0000 0.0000 0.3706
Nb3 0.3333 0.6667 0.8699
Fe1 0.0036 0.5018 0.1823
Fe2 0.3301 0.1651 0.6916
Fe3 0.4982 0.5018 0.1823
Fe4 0.4982 0.9964 0.1823
Fe5 0.6667 0.3333 0.4344
Fe6 0.6667 0.3333 0.9433
Fe7 0.8349 0.1651 0.6916
Fe8 0.8349 0.6699 0.6916
Sn1 0.3333 0.6667 0.4953

Top 12 peaks for 2θ from 10° to 90°, most intense first:
| d [Å] | two_theta | I/Imax |
| --- | --- | --- |
| 2.066 | 43.81 | 100 |
| 2.230 | 40.46 | 88 |
| 2.030 | 44.64 | 68 |
| 2.426 | 37.06 | 50 |
| 1.360 | 69.09 | 33 |
| 1.262 | 75.32 | 27 |
| 1.213 | 78.93 | 23 |
| 1.320 | 71.48 | 22 |
| 2.101 | 43.06 | 14 |
| 1.973 | 46.01 | 11 |
| 1.401 | 66.79 | 9 |
| 1.115 | 87.51 | 9 |



# 4
For Ta3Nb2Fe, the GGA-PBE geometry in Alexandria gives the simulated powder XRD pattern in this record (CuKα).

Cell: 7.2222 7.2222 3.2453 Å, 90.00 90.00 142.97°
Fractional positions:
Ta1 0.0000 0.0000 0.0000
Ta2 0.1670 0.8330 0.5000
Ta3 0.8330 0.1670 0.5000
Nb1 0.3420 0.6580 0.0000
Nb2 0.6580 0.3420 0.0000
Fe1 0.5000 0.5000 0.5000

Top 12 peaks for 2θ from 10° to 90°, most intense first:
| d [Å] | two_theta | I/Imax |
| --- | --- | --- |
| 2.292 | 39.31 | 100 |
| 1.324 | 71.22 | 21 |
| 2.283 | 39.47 | 19 |
| 1.618 | 56.92 | 13 |
| 1.320 | 71.49 | 13 |
| 4.349 | 20.42 | 12 |
| 1.146 | 84.56 | 11 |
| 1.623 | 56.73 | 7 |
| 1.323 | 71.31 | 7 |
| 2.353 | 38.25 | 6 |
| 2.933 | 30.48 | 6 |
| 1.806 | 50.52 | 3 |



Copy entry 1 word for word.
For Nb4V3FeSe20, the GGA-PBE geometry in Alexandria gives the simulated powder XRD pattern in this record (CuKα).

Cell: 9.9304 3.4978 18.9370 Å, 90.00 96.53 90.00°
Fractional positions:
Nb1 0.0000 0.0000 0.0000
Nb2 0.1871 0.5000 0.6269
Nb3 0.4735 0.0000 0.4959
Nb4 0.7086 0.5000 0.1299
V1 0.1707 0.5000 0.3543
V2 0.4842 0.0000 0.7655
V3 0.7019 0.5000 0.8620
Fe1 0.0011 0.0000 0.2623
Se1 0.0102 0.0000 0.5611
Se2 0.0143 0.0000 0.3873
Se3 0.0297 0.0000 0.6865
Se4 0.1503 0.5000 0.2306
Se5 0.1558 0.5000 0.9396
Se6 0.1771 0.5000 0.0658
Se7 0.2713 0.5000 0.4913
Se8 0.2985 0.5000 0.7667
Se9 0.3629 0.0000 0.3571
Se10 0.3888 0.0000 0.6300
Se11 0.5297 0.0000 0.0658
Se12 0.5345 0.0000 0.8945
Se13 0.5560 0.0000 0.1920
Se14 0.6291 0.5000 0.4356
Se15 0.6519 0.5000 0.7332
Se16 0.6526 0.5000 0.5611
Se17 0.7982 0.5000 0.9975
Se18 0.8295 0.5000 0.2666
Se19 0.8875 0.0000 0.8604
Se20 0.9101 0.0000 0.1356

Top 12 peaks for 2θ from 10° to 90°, most intense first:
| d [Å] | two_theta | I/Imax |
| --- | --- | --- |
| 2.853 | 31.35 | 100 |
| 5.588 | 15.86 | 40 |
| 2.522 | 35.60 | 39 |
| 2.303 | 39.12 | 31 |
| 2.123 | 42.58 | 29 |
| 2.402 | 37.45 | 27 |
| 1.749 | 52.31 | 22 |
| 2.045 | 44.28 | 20 |
| 8.356 | 10.59 | 18 |
| 1.437 | 64.89 | 13 |
| 2.794 | 32.03 | 13 |
| 5.040 | 17.60 | 11 |